Starting from a PBE-relaxed structure, the powder XRD pattern of Nd3ReO7 was calculated for λ = 1.5418 Å (Cu Kα).
Lines closer than 0.1° are merged.

Cell and atoms:
```
22
Lattice="5.491 -3.761 0.000 5.491 3.761 0.000 0.000 0.000 7.645" Properties=species:S:1:pos:R:3 pbc="T T T"
Nd 0.000 0.000 0.000
Nd 0.000 0.000 3.823
Nd 3.037 1.495 5.734
Nd 3.037 -1.495 1.911
Nd 7.945 1.495 5.734
Nd 7.945 -1.495 1.911
Re 5.491 0.000 0.000
Re 5.491 0.000 3.823
O 1.445 0.183 1.911
O 1.445 -0.183 5.734
O 4.109 1.396 0.284
O 4.109 1.396 3.539
O 5.491 0.589 5.734
O 6.874 1.396 0.284
O 6.874 1.396 3.539
O 4.109 -1.396 4.107
O 4.109 -1.396 7.361
O 5.491 -0.589 1.911
O 6.874 -1.396 4.107
O 6.874 -1.396 7.361
O 9.538 0.183 1.911
O 9.538 -0.183 5.734
```

Most intense lines, 2θ = 10–90°, by intensity:
- 2θ 28.4, intensity 100
- 2θ 28.8, intensity 87
- 2θ 47.4, intensity 46
- 2θ 33.4, intensity 43
- 2θ 56.6, intensity 26
- 2θ 32.6, intensity 23
- 2θ 47.6, intensity 17
- 2θ 57.1, intensity 15
- 2θ 76.8, intensity 12
- 2θ 31.1, intensity 10

Starting from a PBE-relaxed structure, the powder XRD pattern of Ag2Se was calculated for λ = 1.5418 Å (Cu Kα).
Lines closer than 0.1° are merged.

Cell and atoms:
```
3
Lattice="-2.303 2.303 3.181 2.303 -2.303 3.181 2.303 2.303 -3.181" Properties=species:S:1:pos:R:3 pbc="T T T"
Ag 2.303 0.000 1.591
Ag 0.000 2.303 1.591
Se 0.000 0.000 0.000
```

Most intense lines, 2θ = 10–90°, by intensity:
- 2θ 39.6, intensity 100
- 2θ 39.1, intensity 52
- 2θ 71.2, intensity 33
- 2θ 27.4, intensity 31
- 2θ 23.8, intensity 27
- 2θ 56.5, intensity 17
- 2θ 72.2, intensity 16
- 2θ 28.0, intensity 15
- 2θ 48.8, intensity 12
- 2θ 85.3, intensity 10

Starting from a PBE-relaxed structure, the powder XRD pattern of InMoS2 was calculated for λ = 1.5418 Å (Cu Kα).
Lines closer than 0.1° are merged.

Cell and atoms:
```
8
Lattice="3.204 0.000 0.000 -1.602 2.775 0.000 0.000 0.000 18.457" Properties=species:S:1:pos:R:3 pbc="T T T"
In 0.000 0.000 0.000
In 0.000 0.000 9.229
Mo 0.000 0.000 4.614
Mo 0.000 0.000 13.843
S 0.000 1.850 3.041
S 0.000 1.850 6.188
S 1.602 0.925 12.269
S 1.602 0.925 15.417
```

Most intense lines, 2θ = 10–90°, by intensity:
- 2θ 37.8, intensity 100
- 2θ 19.2, intensity 54
- 2θ 32.3, intensity 47
- 2θ 51.5, intensity 38
- 2θ 57.5, intensity 20
- 2θ 70.9, intensity 15
- 2θ 61.2, intensity 14
- 2θ 88.0, intensity 13
- 2θ 80.8, intensity 10
- 2θ 39.0, intensity 10

Starting from a PBE-relaxed structure, the powder XRD pattern of Ti13S24 was calculated for λ = 1.5418 Å (Cu Kα).
Lines closer than 0.1° are merged.

Cell and atoms:
```
37
Lattice="9.031 0.000 0.000 1.297 8.943 0.000 3.885 3.357 8.852" Properties=species:S:1:pos:R:3 pbc="T T T"
Ti 0.000 0.000 0.000
Ti 0.648 4.472 0.000
Ti 2.607 2.258 5.830
Ti 3.880 7.360 1.485
Ti 5.178 8.439 4.383
Ti 6.549 9.565 7.316
Ti 6.369 5.640 2.966
Ti 5.164 4.472 0.000
Ti 7.843 6.660 5.886
Ti 7.664 2.736 1.536
Ti 9.034 3.861 4.469
Ti 10.333 4.941 7.367
Ti 11.605 10.042 3.022
S 3.524 4.342 6.668
S 2.220 3.234 3.692
S 0.948 2.145 0.758
S 2.910 5.152 0.723
S 4.211 6.312 3.667
S 5.518 7.395 6.636
S 4.807 9.428 2.230
S 7.420 11.657 8.126
S 6.143 10.534 5.153
S 5.493 3.476 2.200
S 6.830 4.607 5.129
S 8.134 5.724 8.081
S 6.078 6.576 0.771
S 7.383 7.693 3.723
S 8.719 8.825 6.652
S 8.070 1.767 3.699
S 6.793 0.643 0.726
S 9.405 2.872 6.622
S 8.694 4.905 2.216
S 10.001 5.989 5.185
S 11.303 7.149 8.129
S 13.264 10.155 8.094
S 11.992 9.066 5.160
S 10.688 7.958 2.184
```

Most intense lines, 2θ = 10–90°, by intensity:
- 2θ 33.9, intensity 100
- 2θ 15.0, intensity 58
- 2θ 43.3, intensity 44
- 2θ 53.7, intensity 32
- 2θ 43.4, intensity 22
- 2θ 56.1, intensity 21
- 2θ 56.2, intensity 8
- 2θ 65.0, intensity 8
- 2θ 89.3, intensity 8
- 2θ 87.2, intensity 7

Starting from a PBE-relaxed structure, the powder XRD pattern of Lu4Ge8Pd was calculated for λ = 1.5418 Å (Cu Kα).
Lines closer than 0.1° are merged.

Cell and atoms:
```
13
Lattice="3.930 0.000 0.000 0.000 4.050 0.000 0.000 0.000 16.422" Properties=species:S:1:pos:R:3 pbc="T T T"
Lu 0.000 0.000 0.000
Lu 0.000 2.025 7.917
Lu 1.965 0.000 12.950
Lu 1.965 2.025 4.646
Ge 0.000 0.000 5.431
Ge 0.000 0.000 10.113
Ge 0.000 2.025 2.271
Ge 0.000 2.025 14.118
Ge 1.965 0.000 2.385
Ge 1.965 0.000 7.142
Ge 1.965 2.025 10.102
Ge 1.965 2.025 15.761
Pd 0.000 2.025 11.695
```

Most intense lines, 2θ = 10–90°, by intensity:
- 2θ 35.8, intensity 100
- 2θ 35.2, intensity 23
- 2θ 44.8, intensity 20
- 2θ 46.2, intensity 19
- 2θ 25.1, intensity 15
- 2θ 40.2, intensity 14
- 2θ 32.7, intensity 13
- 2θ 66.3, intensity 13
- 2θ 76.6, intensity 12
- 2θ 59.4, intensity 10

Starting from a PBE-relaxed structure, the powder XRD pattern of Ac2S3 was calculated for λ = 1.5418 Å (Cu Kα).
Lines closer than 0.1° are merged.

Cell and atoms:
```
10
Lattice="3.809 2.199 6.542 -3.809 2.199 6.542 0.000 -4.398 6.542" Properties=species:S:1:pos:R:3 pbc="T T T"
Ac 0.000 0.000 2.816
Ac 0.000 0.000 6.998
Ac 0.000 0.000 12.629
Ac 0.000 0.000 16.811
S -2.708 -0.292 8.178
S -1.101 -2.491 11.449
S 1.606 -2.199 8.178
S -1.606 2.199 11.449
S 1.101 2.491 8.178
S 2.708 0.292 11.449
```

Most intense lines, 2θ = 10–90°, by intensity:
- 2θ 23.4, intensity 100
- 2θ 22.6, intensity 100
- 2θ 40.6, intensity 53
- 2θ 32.7, intensity 50
- 2θ 36.2, intensity 46
- 2θ 41.0, intensity 41
- 2θ 16.2, intensity 22
- 2θ 53.4, intensity 19
- 2θ 48.4, intensity 17
- 2θ 47.8, intensity 16

Starting from a PBE-relaxed structure, the powder XRD pattern of MgAl4Tl4O12 was calculated for λ = 1.5418 Å (Cu Kα).
Lines closer than 0.1° are merged.

Cell and atoms:
```
21
Lattice="5.461 0.000 0.000 0.227 5.496 0.000 0.564 2.474 9.166" Properties=species:S:1:pos:R:3 pbc="T T T"
Mg 0.000 0.000 0.000
Al 0.639 2.761 5.394
Al 0.806 2.681 1.886
Al 3.411 5.328 5.375
Al 3.605 4.734 1.582
Tl 0.722 5.487 3.561
Tl 3.292 2.902 7.279
Tl 3.399 2.393 3.726
Tl 6.020 5.420 7.489
O 1.066 2.745 7.244
O 0.876 0.960 1.478
O 2.059 6.637 5.020
O 2.218 3.903 4.835
O 2.419 3.449 1.908
O 3.244 5.066 7.149
O 3.845 5.646 3.151
O 3.480 0.204 0.122
O 4.430 1.727 5.761
O 5.094 4.448 5.267
O 5.200 3.916 1.247
O 5.636 2.515 3.555
```

Most intense lines, 2θ = 10–90°, by intensity:
- 2θ 33.1, intensity 100
- 2θ 19.4, intensity 85
- 2θ 23.7, intensity 61
- 2θ 32.9, intensity 59
- 2θ 23.1, intensity 55
- 2θ 32.6, intensity 53
- 2θ 22.9, intensity 52
- 2θ 33.6, intensity 51
- 2θ 28.4, intensity 38
- 2θ 35.0, intensity 36